Structure and theoretical powder diffraction line list of Li4Ni3Sb5O16 (a structure optimized by DFT (PBE+U); Cu Kα, 1.54184 Å).
Peak positions follow from Bragg's law for the DFT cell and can differ from measured ones.

Top 10 peaks for 2θ from 5° to 70°, by angle:
| d [Å] | 2θ/deg | I (rel.) |
| --- | --- | --- |
| 5.176 | 17.13 | 78.8 |
| 4.756 | 18.66 | 100.0 |
| 4.732 | 18.75 | 57.0 |
| 3.721 | 23.92 | 51.5 |
| 2.899 | 30.84 | 65.2 |
| 2.658 | 33.71 | 40.3 |
| 2.644 | 33.90 | 63.7 |
| 2.591 | 34.62 | 91.8 |
| 2.573 | 34.86 | 40.2 |
| 2.115 | 42.74 | 46.1 |

Cell and atoms:
```
data_Li4Ni3Sb5O16
_chemical_formula_sum 'Li4 Ni3 Sb5 O16'
_cell_length_a 6.1519
_cell_length_b 6.1519
_cell_length_c 10.3523
_cell_angle_alpha 90.13
_cell_angle_beta 90.13
_cell_angle_gamma 60.49
_symmetry_space_group_name_H-M 'P 1'
_symmetry_Int_Tables_number 1
loop_
_symmetry_equiv_pos_as_xyz
'x,y,z'
loop_
_atom_site_label
_atom_site_type_symbol
_atom_site_fract_x
_atom_site_fract_y
_atom_site_fract_z
Li1 Li 0.0000 0.0000 0.0000
Li2 Li 0.0070 0.0070 0.5187
Li3 Li 0.3305 0.3305 0.3984
Li4 Li 0.6746 0.6746 0.9131
Ni1 Ni 0.1824 0.6771 0.7359
Ni2 Ni 0.6771 0.1824 0.7359
Ni3 Ni 0.8363 0.8363 0.2238
Sb1 Sb 0.1822 0.1822 0.7391
Sb2 Sb 0.3439 0.8384 0.2250
Sb3 Sb 0.3575 0.3575 0.9919
Sb4 Sb 0.6882 0.6882 0.5342
Sb5 Sb 0.8384 0.3439 0.2250
O1 O 0.0086 0.0086 0.3266
O2 O 0.0177 0.0177 0.8278
O3 O 0.0471 0.4860 0.8641
O4 O 0.1580 0.1580 0.1116
O5 O 0.1721 0.7007 0.1089
O6 O 0.3324 0.8675 0.6288
O7 O 0.3389 0.3389 0.6353
O8 O 0.4860 0.0471 0.8641
O9 O 0.4958 0.4958 0.8643
O10 O 0.5050 0.9853 0.3277
O11 O 0.5081 0.5081 0.3215
O12 O 0.6674 0.6674 0.1163
O13 O 0.7007 0.1721 0.1089
O14 O 0.8542 0.8542 0.6224
O15 O 0.8675 0.3324 0.6288
O16 O 0.9853 0.5050 0.3277
```